No. 1
Structure and simulated X-ray diffraction stick pattern of Na2FeSnP3O12 (a DFT-relaxed cell (GGA+U, the Materials Project); Cu Kα (λ = 1.5418 Å)).

Structure:
```
Na2FeSnP3O12
1.0
7.637 -4.404 0.000
7.637 4.404 0.000
-5.093 0.000 7.366
Na Fe Sn P O
4 2 2 6 24
direct
0.086 0.436 0.756
0.185 0.185 0.001
0.564 0.914 0.244
0.815 0.815 0.999
0.224 0.583 0.201
0.417 0.776 0.799
0.709 0.079 0.682
0.921 0.291 0.318
0.026 0.974 0.500
0.113 0.887 0.000
0.316 0.388 0.493
0.521 0.184 0.999
0.612 0.684 0.507
0.816 0.479 0.001
0.006 0.160 0.499
0.056 0.815 0.325
0.086 0.063 0.169
0.132 0.713 0.017
0.151 0.369 0.497
0.185 0.944 0.675
0.267 0.413 0.314
0.287 0.868 0.983
0.341 0.351 0.015
0.361 0.550 0.662
0.450 0.639 0.338
0.483 0.203 0.497
0.499 0.014 0.987
0.547 0.153 0.827
0.587 0.733 0.686
0.631 0.849 0.503
0.649 0.659 0.985
0.697 0.204 0.168
0.796 0.303 0.832
0.797 0.517 0.503
0.840 0.994 0.501
0.847 0.453 0.173
0.937 0.914 0.831
0.986 0.501 0.013
```

Largest 10 diffraction maxima, by intensity, 10 to 90 degrees two-theta:
d 2.826, 2θ 31.66, I 100
d 4.407, 2θ 20.15, I 91
d 4.475, 2θ 19.84, I 84
d 3.782, 2θ 23.53, I 82
d 2.544, 2θ 35.28, I 56
d 3.140, 2θ 28.42, I 51
d 1.891, 2θ 48.12, I 38
d 1.666, 2θ 55.14, I 29
d 1.754, 2θ 52.14, I 25
d 1.518, 2θ 61.06, I 24


No. 2
Structure and simulated X-ray diffraction stick pattern of Na2Ti3FeP6O24 (a DFT-relaxed cell (GGA+U, the Materials Project); Cu Kα (λ = 1.5418 Å)).

Structure:
```
Na2Ti3FeP6O24
1.0
4.260 2.459 7.454
-4.260 2.459 7.454
0.000 -4.919 7.454
Na Ti Fe P O
2 3 1 6 24
direct
0.000 0.000 0.000
0.497 0.497 0.497
0.352 0.352 0.352
0.643 0.643 0.643
0.850 0.850 0.850
0.144 0.144 0.144
0.034 0.461 0.748
0.250 0.959 0.531
0.461 0.748 0.034
0.531 0.250 0.959
0.748 0.034 0.461
0.959 0.531 0.250
0.007 0.645 0.753
0.019 0.299 0.943
0.055 0.962 0.696
0.121 0.496 0.297
0.228 0.403 0.593
0.257 0.975 0.348
0.297 0.121 0.496
0.299 0.943 0.019
0.348 0.257 0.975
0.402 0.764 0.598
0.403 0.593 0.228
0.496 0.297 0.121
0.502 0.693 0.874
0.593 0.228 0.403
0.598 0.402 0.764
0.645 0.753 0.007
0.693 0.874 0.502
0.696 0.055 0.962
0.753 0.007 0.645
0.764 0.598 0.402
0.874 0.502 0.693
0.943 0.019 0.299
0.962 0.696 0.055
0.975 0.348 0.257
```

Largest 10 diffraction maxima, by intensity, 10 to 90 degrees two-theta:
d 3.699, 2θ 24.06, I 100
d 2.805, 2θ 31.90, I 56
d 4.260, 2θ 20.85, I 37
d 3.079, 2θ 29.00, I 27
d 4.456, 2θ 19.93, I 26
d 6.158, 2θ 14.38, I 21
d 1.849, 2θ 49.28, I 18
d 2.459, 2θ 36.54, I 16
d 2.767, 2θ 32.35, I 14
d 1.610, 2θ 57.22, I 14


No. 3
Structure and simulated X-ray diffraction stick pattern of Na2TiFeP3O12 (a DFT-relaxed cell (GGA+U, the Materials Project); Cu Kα (λ = 1.5418 Å)).

Structure:
```
Na2TiFeP3O12
1.0
7.578 -4.378 0.000
7.578 4.378 0.000
-5.028 0.000 7.306
Na Ti Fe P O
4 2 2 6 24
direct
0.185 0.185 0.000
0.434 0.074 0.749
0.815 0.815 0.000
0.926 0.566 0.251
0.078 0.709 0.681
0.291 0.922 0.319
0.584 0.223 0.198
0.777 0.416 0.802
0.187 0.527 0.000
0.390 0.316 0.497
0.473 0.813 0.000
0.684 0.610 0.503
0.894 0.106 0.000
0.976 0.024 0.500
0.002 0.843 0.517
0.016 0.509 0.994
0.066 0.068 0.170
0.144 0.566 0.829
0.157 0.998 0.483
0.210 0.488 0.516
0.221 0.700 0.170
0.300 0.779 0.830
0.352 0.343 0.008
0.364 0.146 0.483
0.412 0.281 0.320
0.434 0.856 0.171
0.491 0.984 0.006
0.512 0.790 0.484
0.558 0.348 0.668
0.652 0.442 0.332
0.657 0.648 0.992
0.715 0.121 0.008
0.719 0.588 0.680
0.809 0.049 0.324
0.854 0.636 0.517
0.879 0.285 0.992
0.932 0.934 0.830
0.951 0.191 0.676
```

Largest 10 diffraction maxima, by intensity, 10 to 90 degrees two-theta:
d 3.755, 2θ 23.70, I 100
d 2.805, 2θ 31.91, I 83
d 4.377, 2θ 20.29, I 44
d 4.440, 2θ 20.00, I 39
d 2.527, 2θ 35.53, I 36
d 3.117, 2θ 28.63, I 30
d 2.841, 2θ 31.49, I 24
d 1.879, 2θ 48.46, I 20
d 1.654, 2θ 55.55, I 20
d 6.232, 2θ 14.21, I 19